(1)
Theoretical X-ray powder pattern
Compound: Sr5Li
Radiation: Cu Kα X-rays
Structure: a structure optimized by DFT (GGA-PBE)
No peak broadening, texture or thermal motion is included.

Top 10 peaks for 2θ from 10° to 80°, by angle:
2θ (°), Rel. int.
18.1, 27.4
23.4, 76.5
26.5, 32.9
28.3, 100.0
30.2, 40.7
32.4, 46.0
45.9, 32.2
46.1, 21.3
47.3, 32.0
49.8, 29.4

Structure:
```
12
Lattice="-4.368 4.368 8.029 4.368 -4.368 8.029 4.368 4.368 -8.029" Properties=species:S:1:pos:R:3 pbc="T T T"
Sr 0.000 0.000 0.000
Sr 5.788 1.420 -2.294
Sr 1.420 2.948 -2.294
Sr 5.788 1.420 2.294
Sr 1.420 2.948 2.294
Sr 0.000 0.000 8.029
Sr 2.948 1.420 5.734
Sr -1.420 2.948 5.734
Sr 2.948 1.420 10.323
Sr -1.420 2.948 10.323
Li 0.000 0.000 4.014
Li 0.000 0.000 12.043
```


(2)
Theoretical X-ray powder pattern
Compound: Sc2Hg4Bi
Radiation: Cu Kα X-rays
Structure: a structure optimized by DFT (GGA-PBE)
No peak broadening, texture or thermal motion is included.

Top 10 peaks for 2θ from 10° to 80°, by angle:
2θ (°), Rel. int.
26.7, 27.4
32.9, 100.0
37.6, 19.5
42.4, 15.4
43.4, 16.1
50.8, 9.9
51.2, 14.8
62.3, 10.0
71.6, 11.0
72.9, 10.5

Structure:
```
14
Lattice="4.175 0.000 0.000 0.000 20.053 0.000 0.000 0.000 4.260" Properties=species:S:1:pos:R:3 pbc="T T T"
Sc 0.000 1.497 0.000
Sc 0.000 18.556 0.000
Sc 2.088 8.530 0.000
Sc 2.088 11.523 0.000
Hg 0.000 3.597 2.130
Hg 0.000 6.348 0.000
Hg 0.000 13.705 0.000
Hg 0.000 16.456 2.130
Hg 2.088 3.679 0.000
Hg 2.088 6.430 2.130
Hg 2.088 13.623 2.130
Hg 2.088 16.374 0.000
Bi 0.000 10.026 2.130
Bi 2.088 0.000 2.130
```